Entry 1:
LiTi2V3O10: simulated XRD peak list (Cu Kα), based on the GGA+U geometry in the Materials Project.
Lines closer than 0.1° are merged.

Principal peaks in the range 15 to 90 degrees two-theta, in order of rising 2θ:
| d [Å] | I_rel |
| --- | --- |
| 4.914 | 100 |
| 3.882 | 21 |
| 3.351 | 22 |
| 3.282 | 15 |
| 2.960 | 18 |
| 2.515 | 9 |
| 2.458 | 10 |
| 2.273 | 38 |
| 2.075 | 33 |
| 2.018 | 30 |

```
data_LiTi2V3O10
_chemical_formula_sum 'Li1 Ti2 V3 O10'
_cell_length_a 5.1060
_cell_length_b 5.1460
_cell_length_c 7.8156
_cell_angle_alpha 74.43
_cell_angle_beta 76.12
_cell_angle_gamma 79.23
_space_group_name_H-M_alt 'P 1'
_space_group_IT_number 1
loop_
_space_group_symop_operation_xyz
'x,y,z'
loop_
_atom_site_label
_atom_site_type_symbol
_atom_site_fract_x
_atom_site_fract_y
_atom_site_fract_z
Li1 Li 0.0000 0.0000 0.0000
Ti1 Ti 0.5235 0.7892 0.7783
Ti2 Ti 0.5400 0.5728 0.1406
V1 V 0.4733 0.0071 0.3443
V2 V 0.4822 0.3674 0.5849
V3 V 0.9935 0.6928 0.4572
O1 O 0.2414 0.9054 0.2404
O2 O 0.2811 0.7360 0.5828
O3 O 0.2941 0.3709 0.3892
O4 O 0.2988 0.6201 0.9806
O5 O 0.3088 0.1586 0.7765
O6 O 0.6946 0.2207 0.1441
O7 O 0.6994 0.0272 0.5185
O8 O 0.7242 0.6642 0.3156
O9 O 0.7428 0.7901 0.9334
O10 O 0.7480 0.4952 0.6725
```


Entry 2:
Li2TiVO4: simulated XRD peak list (Cu Kα), based on the GGA+U geometry in the Materials Project.
Lines closer than 0.1° are merged.

Principal peaks in the range 15 to 90 degrees two-theta, in order of rising 2θ:
| d [Å] | I_rel |
| --- | --- |
| 4.944 | 100 |
| 2.547 | 13 |
| 2.536 | 27 |
| 2.120 | 30 |
| 2.115 | 61 |
| 1.943 | 9 |
| 1.637 | 13 |
| 1.504 | 16 |
| 1.491 | 16 |
| 1.427 | 9 |

```
data_Li2TiVO4
_chemical_formula_sum 'Li8 Ti4 V4 O16'
_cell_length_a 7.8709
_cell_length_b 7.8709
_cell_length_c 5.2339
_cell_angle_alpha 102.45
_cell_angle_beta 102.45
_cell_angle_gamma 97.83
_space_group_name_H-M_alt 'P 1'
_space_group_IT_number 1
loop_
_space_group_symop_operation_xyz
'x,y,z'
loop_
_atom_site_label
_atom_site_type_symbol
_atom_site_fract_x
_atom_site_fract_y
_atom_site_fract_z
Li1 Li 0.0000 0.0000 0.0000
Li2 Li 0.1247 0.3747 0.9979
Li3 Li 0.2495 0.7505 0.0000
Li4 Li 0.3747 0.1247 0.9979
Li5 Li 0.5000 0.5000 0.0000
Li6 Li 0.6253 0.8753 0.0021
Li7 Li 0.7505 0.2495 0.0000
Li8 Li 0.8753 0.6253 0.0021
Ti1 Ti 0.0000 0.5000 0.5000
Ti2 Ti 0.2568 0.2568 0.4969
Ti3 Ti 0.5000 0.0000 0.5000
Ti4 Ti 0.7432 0.7432 0.5031
V1 V 0.1198 0.8802 0.5000
V2 V 0.3718 0.6282 0.5000
V3 V 0.6282 0.3718 0.5000
V4 V 0.8802 0.1198 0.5000
O1 O 0.0097 0.2582 0.2696
O2 O 0.1158 0.6246 0.2702
O3 O 0.1310 0.1310 0.7330
O4 O 0.2422 0.4932 0.7346
O5 O 0.2582 0.0097 0.2696
O6 O 0.3703 0.3703 0.2658
O7 O 0.3754 0.8842 0.7298
O8 O 0.4932 0.2422 0.7346
O9 O 0.5068 0.7578 0.2654
O10 O 0.6246 0.1158 0.2702
O11 O 0.6297 0.6297 0.7342
O12 O 0.7418 0.9903 0.7304
O13 O 0.7578 0.5068 0.2654
O14 O 0.8690 0.8690 0.2670
O15 O 0.8842 0.3754 0.7298
O16 O 0.9903 0.7418 0.7304
```


Entry 3:
Li2TiVO4: simulated XRD peak list (Cu Kα), based on the GGA+U geometry in the Materials Project.
Lines closer than 0.1° are merged.

Principal peaks in the range 15 to 90 degrees two-theta, in order of rising 2θ:
| d [Å] | I_rel |
| --- | --- |
| 4.947 | 100 |
| 2.552 | 13 |
| 2.539 | 27 |
| 2.125 | 30 |
| 2.117 | 61 |
| 1.946 | 8 |
| 1.637 | 9 |
| 1.507 | 25 |
| 1.493 | 16 |
| 1.430 | 9 |

```
data_Li2TiVO4
_chemical_formula_sum 'Li6 Ti3 V3 O12'
_cell_length_a 5.1816
_cell_length_b 6.0249
_cell_length_c 7.9222
_cell_angle_alpha 78.14
_cell_angle_beta 77.37
_cell_angle_gamma 73.32
_space_group_name_H-M_alt 'P 1'
_space_group_IT_number 1
loop_
_space_group_symop_operation_xyz
'x,y,z'
loop_
_atom_site_label
_atom_site_type_symbol
_atom_site_fract_x
_atom_site_fract_y
_atom_site_fract_z
Li1 Li 0.0000 0.0000 0.0000
Li2 Li 0.0002 0.3316 0.6683
Li3 Li 0.9998 0.6684 0.3317
Li4 Li 0.4934 0.8298 0.1652
Li5 Li 0.5000 0.5000 0.5000
Li6 Li 0.5066 0.1702 0.8348
Ti1 Ti 0.0001 0.1718 0.3287
Ti2 Ti 0.0000 0.5000 0.0000
Ti3 Ti 0.9999 0.8282 0.6713
V1 V 0.5000 0.0000 0.5000
V2 V 0.4997 0.3293 0.1704
V3 V 0.5003 0.6707 0.8296
O1 O 0.2352 0.1727 0.0900
O2 O 0.2352 0.8479 0.4241
O3 O 0.2356 0.5118 0.7521
O4 O 0.2394 0.6521 0.0762
O5 O 0.2410 0.3134 0.4165
O6 O 0.2406 0.9926 0.7365
O7 O 0.7594 0.0074 0.2635
O8 O 0.7590 0.6866 0.5835
O9 O 0.7606 0.3479 0.9238
O10 O 0.7644 0.4882 0.2479
O11 O 0.7648 0.1521 0.5759
O12 O 0.7648 0.8273 0.9100
```